Entry 1:
For Sm2S2Br, a crystal structure in Alexandria, relaxed with PBE gives the calculated powder XRD pattern in this record (Cu Ka).
No peak broadening, texture or thermal motion is included.

Principal peaks in the range 2θ = 5–70°, low angle first:
| 2θ/deg | I_rel |
| --- | --- |
| 19.49 | 63 |
| 26.59 | 71 |
| 30.37 | 100 |
| 30.82 | 81 |
| 32.09 | 76 |
| 45.08 | 65 |

Crystal structure
```
Sm2S2Br
1.0
6.4408 -2.7889 0.0000
6.4408 2.7889 0.0000
-2.6093 0.0000 7.9552
Sm S Br
4 4 2
Direct
0.0074 0.0074 0.2397
0.3377 0.3377 0.9318
0.6623 0.6623 0.0682
0.9926 0.9926 0.7603
0.1621 0.1621 0.0711
0.4956 0.4956 0.7647
0.5044 0.5044 0.2353
0.8379 0.8379 0.9289
0.1639 0.1639 0.5885
0.8361 0.8361 0.4115
```



Entry 2:
For PmTm2ZrAs4, a crystal structure in Alexandria, relaxed with PBE gives the calculated powder XRD pattern in this record (Cu Ka).
No peak broadening, texture or thermal motion is included.

Principal peaks in the range 2θ = 5–70°, low angle first:
| 2θ/deg | I_rel |
| --- | --- |
| 26.96 | 17 |
| 31.23 | 100 |
| 44.70 | 37 |
| 44.80 | 37 |
| 55.62 | 19 |
| 65.08 | 8 |

Crystal structure
```
PmTm2ZrAs4
1.0
7.0047 0.0000 0.0000
0.0000 4.0487 0.0000
-2.3183 0.0000 6.6272
Pm Tm Zr As
1 2 1 4
Direct
0.0000 0.0000 0.0000
0.5000 0.0000 0.5000
0.5000 0.5000 0.0000
0.0000 0.5000 0.5000
0.2464 0.0000 0.7388
0.2536 0.5000 0.2617
0.7464 0.5000 0.7383
0.7536 0.0000 0.2612
```



Entry 3:
For RbScBP2HO9, a crystal structure in Alexandria, relaxed with PBE gives the calculated powder XRD pattern in this record (Cu Ka).
No peak broadening, texture or thermal motion is included.

Principal peaks in the range 2θ = 5–70°, low angle first:
| 2θ/deg | I_rel |
| --- | --- |
| 21.32 | 70 |
| 25.98 | 80 |
| 26.67 | 86 |
| 27.37 | 100 |
| 30.14 | 54 |
| 33.70 | 80 |

Crystal structure
```
RbScBP2HO9
1.0
5.3985 0.0000 0.0000
1.4335 8.3399 0.0000
0.5187 0.3635 8.5933
Rb Sc B P H O
2 2 2 4 2 18
Direct
0.2201 0.1232 0.3297
0.7799 0.8768 0.6703
0.2138 0.2037 0.8108
0.7862 0.7963 0.1892
0.3833 0.5659 0.7204
0.6167 0.4341 0.2796
0.2924 0.8036 0.9380
0.3125 0.6958 0.4145
0.6875 0.3042 0.5855
0.7076 0.1964 0.0620
0.0993 0.5257 0.8732
0.9007 0.4743 0.1268
0.0497 0.7405 0.9991
0.0690 0.7880 0.3507
0.2103 0.4635 0.7960
0.2221 0.9573 0.8334
0.2497 0.6668 0.5927
0.3814 0.5289 0.3392
0.4553 0.6723 0.8332
0.4617 0.8304 0.0660
0.4676 0.2096 0.6096
0.5324 0.7904 0.3904
0.5383 0.1696 0.9340
0.5447 0.3277 0.1668
0.6186 0.4711 0.6608
0.7503 0.3332 0.4073
0.7779 0.0427 0.1666
0.7897 0.5365 0.2040
0.9310 0.2120 0.6493
0.9503 0.2595 0.0009
```



Question: Which formula does entry 3 have?
Answer: RbScBP2HO9